Calculated powder diffraction line list of Rb3Ge7HO20 for Cu Kα X-rays, from a cell relaxed with PBE.
Lines closer than 0.1° are merged.

Top 10 peaks for 10 to 90 degrees two-theta, in order of rising 2θ:
2theta  Rel. int.
11.25  100
22.61  36
27.85  45
32.06  38
32.33  44
34.21  16
36.03  25
36.21  17
51.82  17
52.19  21

Cell and atoms:
abc: 11.0758 11.0758 13.7330
angles: 90.00 90.00 120.00
Space group R3m (No. 160, hexagonal axes)
Asymmetric unit:
Rb1 0.1697 0.3395 0.0000 [9 per cell]
Ge1 0.0000 0.0000 0.5360 [3 per cell]
Ge2 0.1038 0.2077 0.7172 [9 per cell]
Ge3 0.1683 0.3366 0.5031 [9 per cell]
H1 0.0000 0.0000 0.7325 [3 per cell]
O1 0.0000 0.0000 0.0040 [3 per cell]
O2 0.0000 0.0000 0.8036 [3 per cell]
O3 0.0098 0.2657 0.7954 [18 per cell]
O4 0.0439 0.5219 0.9354 [9 per cell]
O5 0.0809 0.1618 0.4636 [9 per cell]
O6 0.1511 0.0756 0.6412 [9 per cell]
O7 0.1754 0.3508 0.6321 [9 per cell]

***

Calculated powder diffraction line list of Hf2Ge for Cu Kα X-rays, from a cell relaxed with PBE.
Lines closer than 0.1° are merged.

Top 10 peaks for 10 to 90 degrees two-theta, in order of rising 2θ:
2theta  Rel. int.
33.38  100
34.88  28
40.54  30
49.98  5
54.53  25
56.83  8
61.60  17
67.15  5
74.98  15
87.64  7

Cell and atoms:
abc: 7.0375 7.0375 5.1439
angles: 90.00 90.00 90.00
Space group I4/mcm (No. 140)
Asymmetric unit:
Hf1 0.1493 0.3507 0.0000 [8 per cell]
Ge1 0.0000 0.0000 0.0000 [4 per cell]

***

Calculated powder diffraction line list of Hf5Ge4 for Cu Kα X-rays, from a cell relaxed with PBE.
Lines closer than 0.1° are merged.

Top 10 peaks for 10 to 90 degrees two-theta, in order of rising 2θ:
2theta  Rel. int.
28.20  25
34.49  100
34.65  69
36.66  48
37.87  29
39.03  47
40.14  25
40.32  52
40.53  52
61.87  31

Cell and atoms:
abc: 7.0652 13.4797 7.1449
angles: 90.00 90.00 90.00
Space group Pnma (No. 62)
Asymmetric unit:
Hf1 0.0160 0.0949 0.1762 [8 per cell]
Hf2 0.1428 0.6237 0.3344 [8 per cell]
Hf3 0.1833 0.2500 0.4977 [4 per cell]
Ge1 0.0551 0.2500 0.8882 [4 per cell]
Ge2 0.1766 0.7500 0.6471 [4 per cell]
Ge3 0.1994 0.0410 0.5351 [8 per cell]